Record 1
This entry pairs a crystal structure of AlSi with its calculated X-ray powder pattern. Radiation: Cu Kα (weighted mean of Kα1 and Kα2). Structure: a PBE-relaxed structure.
Intensities are scaled so that the largest is 100.

```
data_AlSi
_symmetry_space_group_name_H-M 'P 1'
_symmetry_Int_Tables_number 1
_symmetry_space_group_name_Hall 'P 1'
_cell_length_a 12.2019
_cell_length_b 4.2414
_cell_length_c 4.6875
_cell_angle_alpha 90.00
_cell_angle_beta 90.00
_cell_angle_gamma 90.00
loop_
_atom_site_label
_atom_site_type_symbol
_atom_site_fract_x
_atom_site_fract_y
_atom_site_fract_z
Al1 Al 0.0000 0.0509 0.0000
Al2 Al 0.1819 0.4091 0.4255
Al3 Al 0.3181 0.5909 0.9255
Al4 Al 0.5000 0.9491 0.5000
Al5 Al 0.6819 0.5909 0.9255
Al6 Al 0.8181 0.4091 0.4255
Si1 Si 0.0000 0.5624 0.2847
Si2 Si 0.2033 0.0908 0.8924
Si3 Si 0.2967 0.9092 0.3924
Si4 Si 0.5000 0.4376 0.7847
Si5 Si 0.7033 0.9092 0.3924
Si6 Si 0.7967 0.0908 0.8924
```

Largest 10 diffraction maxima, low angle first, 10° ≤ 2θ ≤ 90°:
- 14.52°, d = 6.101 Å, rel. 18
- 20.29°, d = 4.376 Å, rel. 20
- 29.07°, d = 3.072 Å, rel. 16
- 29.32°, d = 3.046 Å, rel. 100
- 30.45°, d = 2.936 Å, rel. 20
- 38.41°, d = 2.344 Å, rel. 25
- 41.25°, d = 2.188 Å, rel. 19
- 47.03°, d = 1.932 Å, rel. 20
- 47.14°, d = 1.928 Å, rel. 60
- 49.48°, d = 1.842 Å, rel. 21


Record 2
This entry pairs a crystal structure of Sr4In13Au9 with its calculated X-ray powder pattern. Radiation: Cu Kα (weighted mean of Kα1 and Kα2). Structure: a PBE-relaxed structure.
Intensities are scaled so that the largest is 100.

```
data_Sr4In13Au9
_symmetry_space_group_name_H-M 'P 1'
_symmetry_Int_Tables_number 1
_symmetry_space_group_name_Hall 'P 1'
_cell_length_a 12.9679
_cell_length_b 12.9679
_cell_length_c 4.4575
_cell_angle_alpha 90.00
_cell_angle_beta 90.00
_cell_angle_gamma 120.00
loop_
_atom_site_label
_atom_site_type_symbol
_atom_site_fract_x
_atom_site_fract_y
_atom_site_fract_z
Sr1 Sr 0.0000 0.0000 0.0000
Sr2 Sr 0.5414 0.0829 0.5000
Sr3 Sr 0.5414 0.4586 0.5000
Sr4 Sr 0.9171 0.4586 0.5000
In1 In 0.0388 0.3250 0.0000
In2 In 0.0388 0.7138 0.0000
In3 In 0.2504 0.5008 0.5000
In4 In 0.2504 0.7496 0.5000
In5 In 0.2692 0.1346 0.5000
In6 In 0.2862 0.3250 0.0000
In7 In 0.2862 0.9612 0.0000
In8 In 0.4992 0.7496 0.5000
In9 In 0.6667 0.3333 0.0000
In10 In 0.6750 0.7138 0.0000
In11 In 0.6750 0.9612 0.0000
In12 In 0.8654 0.1346 0.5000
In13 In 0.8654 0.7308 0.5000
Au1 Au 0.1182 0.2364 0.5000
Au2 Au 0.1182 0.8818 0.5000
Au3 Au 0.1561 0.5781 0.0000
Au4 Au 0.4219 0.5781 0.0000
Au5 Au 0.4219 0.8439 0.0000
Au6 Au 0.4268 0.2134 0.0000
Au7 Au 0.7636 0.8818 0.5000
Au8 Au 0.7866 0.2134 0.0000
Au9 Au 0.7866 0.5732 0.0000
```

Largest 10 diffraction maxima, low angle first, 10° ≤ 2θ ≤ 90°:
- 21.45°, d = 4.143 Å, rel. 19
- 23.77°, d = 3.744 Å, rel. 24
- 29.05°, d = 3.074 Å, rel. 40
- 31.20°, d = 2.867 Å, rel. 68
- 34.82°, d = 2.576 Å, rel. 27
- 35.15°, d = 2.553 Å, rel. 36
- 40.45°, d = 2.230 Å, rel. 100
- 41.79°, d = 2.161 Å, rel. 43
- 45.21°, d = 2.006 Å, rel. 24
- 59.59°, d = 1.552 Å, rel. 30


Record 3
This entry pairs a crystal structure of InCoSb with its calculated X-ray powder pattern. Radiation: Cu Kα (weighted mean of Kα1 and Kα2). Structure: a PBE-relaxed structure.
Intensities are scaled so that the largest is 100.

```
data_InCoSb
_symmetry_space_group_name_H-M 'P 1'
_symmetry_Int_Tables_number 1
_symmetry_space_group_name_Hall 'P 1'
_cell_length_a 3.1127
_cell_length_b 3.1127
_cell_length_c 12.6026
_cell_angle_alpha 90.00
_cell_angle_beta 90.00
_cell_angle_gamma 90.00
loop_
_atom_site_label
_atom_site_type_symbol
_atom_site_fract_x
_atom_site_fract_y
_atom_site_fract_z
In1 In 0.0000 0.0000 0.0000
In2 In 0.5000 0.5000 0.5000
Co1 Co 0.0000 0.0000 0.3600
Co2 Co 0.5000 0.5000 0.8600
Sb1 Sb 0.0000 0.0000 0.7398
Sb2 Sb 0.5000 0.5000 0.2398
```

Largest 10 diffraction maxima, low angle first, 10° ≤ 2θ ≤ 90°:
- 28.33°, d = 3.151 Å, rel. 24
- 29.56°, d = 3.022 Å, rel. 28
- 35.91°, d = 2.501 Å, rel. 100
- 41.01°, d = 2.201 Å, rel. 51
- 46.35°, d = 1.959 Å, rel. 32
- 50.59°, d = 1.804 Å, rel. 19
- 59.35°, d = 1.557 Å, rel. 25
- 71.38°, d = 1.321 Å, rel. 25
- 74.00°, d = 1.281 Å, rel. 15
- 78.49°, d = 1.219 Å, rel. 13


Record 4
This entry pairs a crystal structure of ErCuSi with its calculated X-ray powder pattern. Radiation: Cu Kα (weighted mean of Kα1 and Kα2). Structure: a PBE-relaxed structure.
Intensities are scaled so that the largest is 100.

```
data_ErCuSi
_symmetry_space_group_name_H-M 'P 1'
_symmetry_Int_Tables_number 1
_symmetry_space_group_name_Hall 'P 1'
_cell_length_a 4.1237
_cell_length_b 4.1237
_cell_length_c 3.6806
_cell_angle_alpha 90.00
_cell_angle_beta 90.00
_cell_angle_gamma 120.00
loop_
_atom_site_label
_atom_site_type_symbol
_atom_site_fract_x
_atom_site_fract_y
_atom_site_fract_z
Er1 Er 0.0000 0.0000 0.0000
Cu1 Cu 0.3333 0.6667 0.5000
Si1 Si 0.6667 0.3333 0.5000
```

Largest 10 diffraction maxima, low angle first, 10° ≤ 2θ ≤ 90°:
- 24.93°, d = 3.571 Å, rel. 37
- 35.01°, d = 2.563 Å, rel. 100
- 43.91°, d = 2.062 Å, rel. 39
- 49.53°, d = 1.840 Å, rel. 9
- 56.23°, d = 1.636 Å, rel. 8
- 57.35°, d = 1.607 Å, rel. 24
- 68.32°, d = 1.373 Å, rel. 20
- 74.94°, d = 1.267 Å, rel. 21
- 80.72°, d = 1.190 Å, rel. 6
- 83.27°, d = 1.160 Å, rel. 8


Record 5
This entry pairs a crystal structure of Pm7Sm2Y3 with its calculated X-ray powder pattern. Radiation: Cu Kα (weighted mean of Kα1 and Kα2). Structure: a PBE-relaxed structure.
Intensities are scaled so that the largest is 100.

```
data_Pm7Sm2Y3
_symmetry_space_group_name_H-M 'P 1'
_symmetry_Int_Tables_number 1
_symmetry_space_group_name_Hall 'P 1'
_cell_length_a 5.9075
_cell_length_b 3.6445
_cell_length_c 19.0471
_cell_angle_alpha 90.00
_cell_angle_beta 93.57
_cell_angle_gamma 90.00
loop_
_atom_site_label
_atom_site_type_symbol
_atom_site_fract_x
_atom_site_fract_y
_atom_site_fract_z
Pm1 Pm 0.0000 0.0000 0.0000
Pm2 Pm 0.1794 0.5000 0.1799
Pm3 Pm 0.2582 0.5000 0.5359
Pm4 Pm 0.3220 0.0000 0.8556
Pm5 Pm 0.6780 0.0000 0.1444
Pm6 Pm 0.7418 0.5000 0.4641
Pm7 Pm 0.8206 0.5000 0.8201
Sm1 Sm 0.2948 0.5000 0.7033
Sm2 Sm 0.7052 0.5000 0.2967
Y1 Y 0.2169 0.0000 0.3680
Y2 Y 0.5000 0.5000 0.0000
Y3 Y 0.7831 0.0000 0.6320
```

Largest 10 diffraction maxima, low angle first, 10° ≤ 2θ ≤ 90°:
- 28.17°, d = 3.167 Å, rel. 35
- 30.02°, d = 2.976 Å, rel. 29
- 30.37°, d = 2.944 Å, rel. 68
- 30.63°, d = 2.919 Å, rel. 100
- 30.92°, d = 2.892 Å, rel. 26
- 31.20°, d = 2.866 Å, rel. 53
- 31.71°, d = 2.821 Å, rel. 24
- 32.93°, d = 2.720 Å, rel. 38
- 34.01°, d = 2.636 Å, rel. 40
- 36.82°, d = 2.441 Å, rel. 23


Record 6
This entry pairs a crystal structure of TmCu6Pd with its calculated X-ray powder pattern. Radiation: Cu Kα (weighted mean of Kα1 and Kα2). Structure: a PBE-relaxed structure.
Intensities are scaled so that the largest is 100.

```
data_TmCu6Pd
_symmetry_space_group_name_H-M 'P 1'
_symmetry_Int_Tables_number 1
_symmetry_space_group_name_Hall 'P 1'
_cell_length_a 4.8687
_cell_length_b 4.8687
_cell_length_c 4.8687
_cell_angle_alpha 90.00
_cell_angle_beta 90.00
_cell_angle_gamma 90.00
loop_
_atom_site_label
_atom_site_type_symbol
_atom_site_fract_x
_atom_site_fract_y
_atom_site_fract_z
Tm1 Tm 0.0000 0.0000 0.0000
Cu1 Cu 0.0000 0.5000 0.2567
Cu2 Cu 0.0000 0.5000 0.7433
Cu3 Cu 0.2567 0.0000 0.5000
Cu4 Cu 0.5000 0.2567 0.0000
Cu5 Cu 0.5000 0.7433 0.0000
Cu6 Cu 0.7433 0.0000 0.5000
Pd1 Pd 0.5000 0.5000 0.5000
```

Largest 10 diffraction maxima, low angle first, 10° ≤ 2θ ≤ 90°:
- 18.22°, d = 4.869 Å, rel. 4
- 25.88°, d = 3.443 Å, rel. 25
- 36.93°, d = 2.434 Å, rel. 46
- 41.47°, d = 2.177 Å, rel. 61
- 45.64°, d = 1.988 Å, rel. 100
- 53.21°, d = 1.721 Å, rel. 4
- 60.10°, d = 1.540 Å, rel. 5
- 69.63°, d = 1.350 Å, rel. 12
- 72.66°, d = 1.301 Å, rel. 48
- 78.60°, d = 1.217 Å, rel. 13


Record 7
This entry pairs a crystal structure of TbHo2Rh3 with its calculated X-ray powder pattern. Radiation: Cu Kα (weighted mean of Kα1 and Kα2). Structure: a PBE-relaxed structure.
Intensities are scaled so that the largest is 100.

```
data_TbHo2Rh3
_symmetry_space_group_name_H-M 'P 1'
_symmetry_Int_Tables_number 1
_symmetry_space_group_name_Hall 'P 1'
_cell_length_a 4.8397
_cell_length_b 4.8397
_cell_length_c 11.8244
_cell_angle_alpha 90.00
_cell_angle_beta 90.00
_cell_angle_gamma 120.00
loop_
_atom_site_label
_atom_site_type_symbol
_atom_site_fract_x
_atom_site_fract_y
_atom_site_fract_z
Tb1 Tb 0.3333 0.6667 0.1673
Tb2 Tb 0.6667 0.3333 0.8327
Ho1 Ho 0.0000 0.0000 0.0000
Ho2 Ho 0.0000 0.0000 0.5000
Ho3 Ho 0.3333 0.6667 0.6657
Ho4 Ho 0.6667 0.3333 0.3343
Rh1 Rh 0.0000 0.0000 0.2512
Rh2 Rh 0.0000 0.0000 0.7488
Rh3 Rh 0.3333 0.6667 0.4177
Rh4 Rh 0.3333 0.6667 0.9166
Rh5 Rh 0.6667 0.3333 0.0833
Rh6 Rh 0.6667 0.3333 0.5823
```

Largest 10 diffraction maxima, low angle first, 10° ≤ 2θ ≤ 90°:
- 26.06°, d = 3.419 Å, rel. 5
- 37.19°, d = 2.418 Å, rel. 100
- 45.95°, d = 1.975 Å, rel. 1
- 53.61°, d = 1.710 Å, rel. 17
- 60.55°, d = 1.529 Å, rel. 2
- 67.01°, d = 1.397 Å, rel. 26
- 67.15°, d = 1.394 Å, rel. 9
- 79.16°, d = 1.210 Å, rel. 6
- 79.32°, d = 1.208 Å, rel. 5
- 85.08°, d = 1.140 Å, rel. 1


Record 8
This entry pairs a crystal structure of AcPr8Tl6 with its calculated X-ray powder pattern. Radiation: Cu Kα (weighted mean of Kα1 and Kα2). Structure: a PBE-relaxed structure.
Intensities are scaled so that the largest is 100.

```
data_AcPr8Tl6
_symmetry_space_group_name_H-M 'P 1'
_symmetry_Int_Tables_number 1
_symmetry_space_group_name_Hall 'P 1'
_cell_length_a 8.6456
_cell_length_b 8.6456
_cell_length_c 8.6456
_cell_angle_alpha 67.23
_cell_angle_beta 67.23
_cell_angle_gamma 67.23
loop_
_atom_site_label
_atom_site_type_symbol
_atom_site_fract_x
_atom_site_fract_y
_atom_site_fract_z
Ac1 Ac 0.0000 0.0000 0.0000
Pr1 Pr 0.1125 0.4429 0.7803
Pr2 Pr 0.2197 0.8875 0.5571
Pr3 Pr 0.3319 0.3319 0.3319
Pr4 Pr 0.4429 0.7803 0.1125
Pr5 Pr 0.5571 0.2197 0.8875
Pr6 Pr 0.6681 0.6681 0.6681
Pr7 Pr 0.7803 0.1125 0.4429
Pr8 Pr 0.8875 0.5571 0.2197
Tl1 Tl 0.0597 0.7170 0.3999
Tl2 Tl 0.2830 0.6001 0.9403
Tl3 Tl 0.3999 0.0597 0.7170
Tl4 Tl 0.6001 0.9403 0.2830
Tl5 Tl 0.7170 0.3999 0.0597
Tl6 Tl 0.9403 0.2830 0.6001
```

Largest 10 diffraction maxima, low angle first, 10° ≤ 2θ ≤ 90°:
- 18.54°, d = 4.786 Å, rel. 16
- 22.89°, d = 3.884 Å, rel. 22
- 32.40°, d = 2.763 Å, rel. 100
- 32.80°, d = 2.730 Å, rel. 99
- 46.77°, d = 1.942 Å, rel. 37
- 57.79°, d = 1.595 Å, rel. 19
- 58.05°, d = 1.589 Å, rel. 39
- 58.81°, d = 1.570 Å, rel. 19
- 77.41°, d = 1.233 Å, rel. 17
- 78.08°, d = 1.224 Å, rel. 17


Record 9
This entry pairs a crystal structure of KCuSnO3 with its calculated X-ray powder pattern. Radiation: Cu Kα (weighted mean of Kα1 and Kα2). Structure: a PBE-relaxed structure.
Intensities are scaled so that the largest is 100.

```
data_KCuSnO3
_symmetry_space_group_name_H-M 'P 1'
_symmetry_Int_Tables_number 1
_symmetry_space_group_name_Hall 'P 1'
_cell_length_a 7.2746
_cell_length_b 7.2746
_cell_length_c 8.2151
_cell_angle_alpha 90.00
_cell_angle_beta 90.00
_cell_angle_gamma 153.68
loop_
_atom_site_label
_atom_site_type_symbol
_atom_site_fract_x
_atom_site_fract_y
_atom_site_fract_z
K1 K 0.1875 0.8125 0.7500
K2 K 0.8125 0.1875 0.2500
Cu1 Cu 0.1092 0.8908 0.2500
Cu2 Cu 0.8908 0.1092 0.7500
Sn1 Sn 0.5000 0.5000 0.0000
Sn2 Sn 0.5000 0.5000 0.5000
O1 O 0.0979 0.9021 0.0261
O2 O 0.0979 0.9021 0.4739
O3 O 0.4656 0.5344 0.2500
O4 O 0.5344 0.4656 0.7500
O5 O 0.9021 0.0979 0.5261
O6 O 0.9021 0.0979 0.9739
```

Largest 10 diffraction maxima, low angle first, 10° ≤ 2θ ≤ 90°:
- 12.50°, d = 7.084 Å, rel. 100
- 25.06°, d = 3.553 Å, rel. 42
- 33.03°, d = 2.712 Å, rel. 52
- 33.41°, d = 2.682 Å, rel. 25
- 34.84°, d = 2.575 Å, rel. 17
- 35.38°, d = 2.537 Å, rel. 42
- 41.96°, d = 2.153 Å, rel. 21
- 44.09°, d = 2.054 Å, rel. 18
- 56.18°, d = 1.637 Å, rel. 21
- 62.49°, d = 1.486 Å, rel. 12


Record 10
This entry pairs a crystal structure of Tb2Er5Cd with its calculated X-ray powder pattern. Radiation: Cu Kα (weighted mean of Kα1 and Kα2). Structure: a PBE-relaxed structure.
Intensities are scaled so that the largest is 100.

```
data_Tb2Er5Cd
_symmetry_space_group_name_H-M 'P 1'
_symmetry_Int_Tables_number 1
_symmetry_space_group_name_Hall 'P 1'
_cell_length_a 6.5730
_cell_length_b 6.5731
_cell_length_c 7.0140
_cell_angle_alpha 105.47
_cell_angle_beta 105.29
_cell_angle_gamma 115.67
loop_
_atom_site_label
_atom_site_type_symbol
_atom_site_fract_x
_atom_site_fract_y
_atom_site_fract_z
Tb1 Tb 0.0000 0.0000 0.0000
Tb2 Tb 0.1055 0.5827 0.6859
Er1 Er 0.0923 0.5916 0.1810
Er2 Er 0.5183 0.5205 0.5130
Er3 Er 0.5812 0.1067 0.6853
Er4 Er 0.5907 0.0922 0.1810
Er5 Er 0.9953 0.9973 0.5132
Cd1 Cd 0.5136 0.5120 0.0227
```

Largest 10 diffraction maxima, low angle first, 10° ≤ 2θ ≤ 90°:
- 29.43°, d = 3.035 Å, rel. 36
- 32.17°, d = 2.782 Å, rel. 37
- 33.61°, d = 2.666 Å, rel. 100
- 33.67°, d = 2.662 Å, rel. 48
- 44.14°, d = 2.052 Å, rel. 15
- 52.15°, d = 1.754 Å, rel. 19
- 58.26°, d = 1.584 Å, rel. 15
- 58.34°, d = 1.582 Å, rel. 15
- 62.70°, d = 1.482 Å, rel. 21
- 63.59°, d = 1.463 Å, rel. 16


Record 11
This entry pairs a crystal structure of NaPmPu4N8 with its calculated X-ray powder pattern. Radiation: Cu Kα (weighted mean of Kα1 and Kα2). Structure: a PBE-relaxed structure.
Intensities are scaled so that the largest is 100.

```
data_NaPmPu4N8
_symmetry_space_group_name_H-M 'P 1'
_symmetry_Int_Tables_number 1
_symmetry_space_group_name_Hall 'P 1'
_cell_length_a 6.6522
_cell_length_b 6.6522
_cell_length_c 6.6522
_cell_angle_alpha 62.33
_cell_angle_beta 62.33
_cell_angle_gamma 62.33
loop_
_atom_site_label
_atom_site_type_symbol
_atom_site_fract_x
_atom_site_fract_y
_atom_site_fract_z
Na1 Na 0.0000 0.0000 0.0000
Pm1 Pm 0.3842 0.3842 0.3842
Pu1 Pu 0.0005 0.0005 0.4992
Pu2 Pu 0.0005 0.4992 0.0005
Pu3 Pu 0.4992 0.0005 0.0005
Pu4 Pu 0.6135 0.6135 0.6135
N1 N 0.2122 0.7452 0.7452
N2 N 0.2350 0.2350 0.2350
N3 N 0.2521 0.2521 0.8047
N4 N 0.2521 0.8047 0.2521
N5 N 0.7452 0.2122 0.7452
N6 N 0.7452 0.7452 0.2122
N7 N 0.7603 0.7603 0.7603
N8 N 0.8047 0.2521 0.2521
```

Largest 10 diffraction maxima, low angle first, 10° ≤ 2θ ≤ 90°:
- 16.62°, d = 5.334 Å, rel. 40
- 26.84°, d = 3.322 Å, rel. 51
- 30.50°, d = 2.931 Å, rel. 100
- 30.92°, d = 2.892 Å, rel. 48
- 31.73°, d = 2.820 Å, rel. 35
- 32.04°, d = 2.793 Å, rel. 44
- 46.24°, d = 1.963 Å, rel. 23
- 49.47°, d = 1.843 Å, rel. 22
- 53.22°, d = 1.721 Å, rel. 34
- 55.31°, d = 1.661 Å, rel. 26


Record 12
This entry pairs a crystal structure of Cs3Sn2H4 with its calculated X-ray powder pattern. Radiation: Cu Kα (weighted mean of Kα1 and Kα2). Structure: a PBE-relaxed structure.
Intensities are scaled so that the largest is 100.

```
data_Cs3Sn2H4
_symmetry_space_group_name_H-M 'P 1'
_symmetry_Int_Tables_number 1
_symmetry_space_group_name_Hall 'P 1'
_cell_length_a 7.8207
_cell_length_b 7.8207
_cell_length_c 11.3384
_cell_angle_alpha 101.77
_cell_angle_beta 101.77
_cell_angle_gamma 60.69
loop_
_atom_site_label
_atom_site_type_symbol
_atom_site_fract_x
_atom_site_fract_y
_atom_site_fract_z
Cs1 Cs 0.1703 0.8297 0.7500
Cs2 Cs 0.1717 0.5493 0.3617
Cs3 Cs 0.4507 0.8283 0.1383
Cs4 Cs 0.5493 0.1717 0.8617
Cs5 Cs 0.8283 0.4507 0.6383
Cs6 Cs 0.8297 0.1703 0.2500
Sn1 Sn 0.0006 0.3068 0.9895
Sn2 Sn 0.3068 0.0006 0.4895
Sn3 Sn 0.6932 0.9994 0.5105
Sn4 Sn 0.9994 0.6932 0.0105
H1 H 0.1136 0.2652 0.1478
H2 H 0.2411 0.5853 0.9533
H3 H 0.2652 0.1136 0.6478
H4 H 0.4147 0.7589 0.5467
H5 H 0.5853 0.2411 0.4533
H6 H 0.7348 0.8864 0.3522
H7 H 0.7589 0.4147 0.0467
H8 H 0.8864 0.7348 0.8522
```

Largest 10 diffraction maxima, low angle first, 10° ≤ 2θ ≤ 90°:
- 22.50°, d = 3.951 Å, rel. 24
- 22.98°, d = 3.870 Å, rel. 38
- 23.42°, d = 3.799 Å, rel. 35
- 23.93°, d = 3.719 Å, rel. 20
- 25.45°, d = 3.499 Å, rel. 21
- 26.16°, d = 3.406 Å, rel. 100
- 28.52°, d = 3.130 Å, rel. 39
- 41.34°, d = 2.184 Å, rel. 32
- 48.59°, d = 1.874 Å, rel. 16
- 49.47°, d = 1.843 Å, rel. 16


Record 13
This entry pairs a crystal structure of Sm5In2AgIr2 with its calculated X-ray powder pattern. Radiation: Cu Kα (weighted mean of Kα1 and Kα2). Structure: a PBE-relaxed structure.
Intensities are scaled so that the largest is 100.

```
data_Sm5In2AgIr2
_symmetry_space_group_name_H-M 'P 1'
_symmetry_Int_Tables_number 1
_symmetry_space_group_name_Hall 'P 1'
_cell_length_a 11.9410
_cell_length_b 11.9410
_cell_length_c 3.7637
_cell_angle_alpha 90.00
_cell_angle_beta 90.00
_cell_angle_gamma 90.00
loop_
_atom_site_label
_atom_site_type_symbol
_atom_site_fract_x
_atom_site_fract_y
_atom_site_fract_z
Sm1 Sm 0.0000 0.5000 0.0000
Sm2 Sm 0.0744 0.2043 0.0000
Sm3 Sm 0.2043 0.9256 0.0000
Sm4 Sm 0.2957 0.4256 0.0000
Sm5 Sm 0.4256 0.7043 0.0000
Sm6 Sm 0.5000 0.0000 0.0000
Sm7 Sm 0.5744 0.2957 0.0000
Sm8 Sm 0.7043 0.5744 0.0000
Sm9 Sm 0.7957 0.0744 0.0000
Sm10 Sm 0.9256 0.7957 0.0000
In1 In 0.1765 0.6765 0.5000
In2 In 0.3235 0.1765 0.5000
In3 In 0.6765 0.8235 0.5000
In4 In 0.8235 0.3235 0.5000
Ag1 Ag 0.0000 0.0000 0.5000
Ag2 Ag 0.5000 0.5000 0.5000
Ir1 Ir 0.1336 0.3664 0.5000
Ir2 Ir 0.3664 0.8664 0.5000
Ir3 Ir 0.6336 0.1336 0.5000
Ir4 Ir 0.8664 0.6336 0.5000
```

Largest 10 diffraction maxima, low angle first, 10° ≤ 2θ ≤ 90°:
- 16.60°, d = 5.340 Å, rel. 29
- 30.88°, d = 2.896 Å, rel. 26
- 31.82°, d = 2.812 Å, rel. 25
- 33.61°, d = 2.666 Å, rel. 100
- 36.13°, d = 2.486 Å, rel. 39
- 38.48°, d = 2.339 Å, rel. 15
- 48.37°, d = 1.882 Å, rel. 14
- 54.34°, d = 1.688 Å, rel. 18
- 58.49°, d = 1.578 Å, rel. 8
- 75.66°, d = 1.257 Å, rel. 9